Structure and simulated powder XRD pattern of Y3U2O10 (a structure optimized by DFT (PBE); Cu Kα).

Principal peaks in the range 2θ = 10–80°, in order of rising 2θ:
- d = 5.888 Å, 2θ = 15.0°, I 21
- d = 4.518 Å, 2θ = 19.6°, I 23
- d = 3.147 Å, 2θ = 28.4°, I 100
- d = 3.051 Å, 2θ = 29.3°, I 97
- d = 2.682 Å, 2θ = 33.4°, I 58
- d = 1.942 Å, 2θ = 46.8°, I 19
- d = 1.897 Å, 2θ = 48.0°, I 69
- d = 1.638 Å, 2θ = 56.1°, I 30
- d = 1.597 Å, 2θ = 57.7°, I 28
- d = 1.222 Å, 2θ = 78.2°, I 16

Structural model:
abc: 6.473 6.473 8.371
angles: 128.45 128.45 49.00
Element x y z (fractional)
Y 0.000 0.000 0.000
Y 0.398 0.398 0.596
Y 0.602 0.602 0.404
U 0.197 0.197 0.794
U 0.803 0.803 0.206
O 0.053 0.537 0.708
O 0.145 0.645 0.106
O 0.234 0.766 0.500
O 0.355 0.855 0.894
O 0.463 0.947 0.292
O 0.537 0.053 0.708
O 0.645 0.145 0.106
O 0.766 0.234 0.500
O 0.855 0.355 0.894
O 0.947 0.463 0.292



Structure and simulated powder XRD pattern of YU2O6 (a structure optimized by DFT (PBE); Cu Kα).

Principal peaks in the range 2θ = 10–80°, in order of rising 2θ:
- d = 4.869 Å, 2θ = 18.2°, I 19
- d = 3.117 Å, 2θ = 28.6°, I 100
- d = 3.097 Å, 2θ = 28.8°, I 98
- d = 2.691 Å, 2θ = 33.3°, I 67
- d = 1.911 Å, 2θ = 47.6°, I 17
- d = 1.903 Å, 2θ = 47.8°, I 68
- d = 1.892 Å, 2θ = 48.1°, I 17
- d = 1.626 Å, 2θ = 56.6°, I 46
- d = 1.623 Å, 2θ = 56.7°, I 15
- d = 1.618 Å, 2θ = 56.9°, I 30

Structural model:
abc: 6.568 6.568 6.568
angles: 146.18 131.55 60.39
Element x y z (fractional)
Y 0.000 0.000 0.000
U 0.335 0.335 0.000
U 0.665 0.665 0.000
O 0.084 0.830 0.254
O 0.259 0.500 0.759
O 0.424 0.170 0.254
O 0.576 0.830 0.746
O 0.741 0.500 0.241
O 0.916 0.170 0.746



Structure and simulated powder XRD pattern of Y2U3O11 (a structure optimized by DFT (PBE); Cu Kα).

Principal peaks in the range 2θ = 10–80°, in order of rising 2θ:
- d = 3.107 Å, 2θ = 28.7°, I 100
- d = 3.093 Å, 2θ = 28.9°, I 97
- d = 2.722 Å, 2θ = 32.9°, I 25
- d = 2.666 Å, 2θ = 33.6°, I 47
- d = 1.905 Å, 2θ = 47.7°, I 73
- d = 1.892 Å, 2θ = 48.1°, I 18
- d = 1.879 Å, 2θ = 48.4°, I 17
- d = 1.635 Å, 2θ = 56.3°, I 31
- d = 1.614 Å, 2θ = 57.1°, I 32
- d = 1.608 Å, 2θ = 57.3°, I 29

Structural model:
abc: 9.963 9.963 9.963
angles: 158.11 148.29 38.87
Element x y z (fractional)
Y 0.203 0.203 0.000
Y 0.797 0.797 0.000
U 0.000 0.000 0.000
U 0.402 0.402 0.000
U 0.598 0.598 0.000
O 0.071 0.308 0.763
O 0.138 0.899 0.238
O 0.219 0.500 0.719
O 0.339 0.101 0.238
O 0.456 0.692 0.763
O 0.500 0.000 0.500
O 0.544 0.308 0.237
O 0.661 0.899 0.762
O 0.781 0.500 0.281
O 0.862 0.101 0.762
O 0.929 0.692 0.237



Structure and simulated powder XRD pattern of Zr3U7O20 (a structure optimized by DFT (PBE); Cu Kα).

Principal peaks in the range 2θ = 10–80°, in order of rising 2θ:
- d = 3.086 Å, 2θ = 28.9°, I 100
- d = 2.673 Å, 2θ = 33.5°, I 34
- d = 1.892 Å, 2θ = 48.1°, I 25
- d = 1.888 Å, 2θ = 48.2°, I 25
- d = 1.613 Å, 2θ = 57.1°, I 27
- d = 1.610 Å, 2θ = 57.2°, I 19
- d = 1.541 Å, 2θ = 60.0°, I 5
- d = 1.336 Å, 2θ = 70.5°, I 8
- d = 1.228 Å, 2θ = 77.8°, I 6
- d = 1.226 Å, 2θ = 77.9°, I 6

Structural model:
abc: 15.570 15.570 6.539
angles: 93.87 93.87 13.97
Element x y z (fractional)
Zr 0.000 0.000 0.000
Zr 0.099 0.099 0.703
Zr 0.800 0.800 0.604
U 0.200 0.200 0.404
U 0.299 0.299 0.102
U 0.400 0.400 0.802
U 0.501 0.501 0.503
U 0.598 0.598 0.200
U 0.699 0.699 0.901
U 0.900 0.900 0.303
O 0.026 0.026 0.685
O 0.073 0.073 0.018
O 0.122 0.122 0.381
O 0.172 0.172 0.728
O 0.224 0.224 0.076
O 0.275 0.275 0.436
O 0.324 0.324 0.769
O 0.374 0.374 0.126
O 0.426 0.426 0.479
O 0.477 0.477 0.835
O 0.524 0.524 0.168
O 0.575 0.575 0.534
O 0.623 0.623 0.869
O 0.674 0.674 0.228
O 0.726 0.726 0.581
O 0.776 0.776 0.920
O 0.823 0.823 0.286
O 0.873 0.873 0.627
O 0.927 0.927 0.975
O 0.977 0.977 0.321



Structure and simulated powder XRD pattern of YO2 (a structure optimized by DFT (PBE); Cu Kα).

Principal peaks in the range 2θ = 10–80°, in order of rising 2θ:
- d = 4.076 Å, 2θ = 21.8°, I 100
- d = 2.911 Å, 2θ = 30.7°, I 21
- d = 2.896 Å, 2θ = 30.9°, I 16
- d = 2.722 Å, 2θ = 32.9°, I 21
- d = 2.175 Å, 2θ = 41.5°, I 26
- d = 2.053 Å, 2θ = 44.1°, I 21
- d = 1.923 Å, 2θ = 47.3°, I 12
- d = 1.916 Å, 2θ = 47.5°, I 12
- d = 1.742 Å, 2θ = 52.5°, I 21
- d = 1.642 Å, 2θ = 56.0°, I 10

Structural model:
abc: 6.138 6.168 6.587
angles: 90.00 117.90 90.00
Element x y z (fractional)
Y 0.249 0.123 0.251
Y 0.249 0.377 0.751
Y 0.751 0.623 0.249
Y 0.751 0.877 0.749
O 0.034 0.144 0.849
O 0.034 0.356 0.349
O 0.455 0.131 0.654
O 0.455 0.369 0.154
O 0.545 0.631 0.846
O 0.545 0.869 0.346
O 0.966 0.644 0.651
O 0.966 0.856 0.151



Structure and simulated powder XRD pattern of YO2 (a structure optimized by DFT (PBE); Cu Kα).

Principal peaks in the range 2θ = 10–80°, in order of rising 2θ:
- d = 5.939 Å, 2θ = 14.9°, I 46
- d = 4.034 Å, 2θ = 22.0°, I 34
- d = 3.924 Å, 2θ = 22.7°, I 57
- d = 3.120 Å, 2θ = 28.6°, I 100
- d = 2.953 Å, 2θ = 30.3°, I 42
- d = 2.679 Å, 2θ = 33.4°, I 43
- d = 2.307 Å, 2θ = 39.0°, I 45
- d = 1.829 Å, 2θ = 49.9°, I 38
- d = 1.778 Å, 2θ = 51.4°, I 26
- d = 1.730 Å, 2θ = 52.9°, I 29

Structural model:
abc: 4.225 3.667 6.221
angles: 90.00 107.33 90.00
Element x y z (fractional)
Y 0.171 0.250 0.315
Y 0.829 0.750 0.685
O 0.181 0.750 0.053
O 0.267 0.750 0.546
O 0.733 0.250 0.454
O 0.819 0.250 0.947



Structure and simulated powder XRD pattern of YO2 (a structure optimized by DFT (PBE); Cu Kα).

Principal peaks in the range 2θ = 10–80°, in order of rising 2θ:
- d = 4.076 Å, 2θ = 21.8°, I 100
- d = 2.911 Å, 2θ = 30.7°, I 21
- d = 2.896 Å, 2θ = 30.9°, I 16
- d = 2.722 Å, 2θ = 32.9°, I 20
- d = 2.175 Å, 2θ = 41.5°, I 26
- d = 2.053 Å, 2θ = 44.1°, I 21
- d = 1.923 Å, 2θ = 47.3°, I 12
- d = 1.916 Å, 2θ = 47.5°, I 12
- d = 1.742 Å, 2θ = 52.5°, I 21
- d = 1.642 Å, 2θ = 56.0°, I 10

Structural model:
abc: 6.138 6.168 6.575
angles: 90.00 117.69 90.00
Element x y z (fractional)
Y 0.000 0.123 0.250
Y 0.000 0.877 0.750
Y 0.500 0.377 0.750
Y 0.500 0.623 0.250
O 0.192 0.137 0.652
O 0.192 0.863 0.152
O 0.308 0.363 0.348
O 0.308 0.637 0.848
O 0.692 0.363 0.152
O 0.692 0.637 0.652
O 0.808 0.137 0.848
O 0.808 0.863 0.348



Structure and simulated powder XRD pattern of YO2 (a structure optimized by DFT (PBE); Cu Kα).

Principal peaks in the range 2θ = 10–80°, in order of rising 2θ:
- d = 4.069 Å, 2θ = 21.8°, I 100
- d = 3.813 Å, 2θ = 23.3°, I 85
- d = 2.894 Å, 2θ = 30.9°, I 44
- d = 2.871 Å, 2θ = 31.2°, I 32
- d = 2.581 Å, 2θ = 34.8°, I 18
- d = 2.119 Å, 2θ = 42.7°, I 20
- d = 2.092 Å, 2θ = 43.2°, I 42
- d = 2.027 Å, 2θ = 44.7°, I 26
- d = 1.944 Å, 2θ = 46.7°, I 22
- d = 1.666 Å, 2θ = 55.1°, I 17

Structural model:
abc: 5.450 6.613 6.110
angles: 90.00 108.68 90.00
Element x y z (fractional)
Y 0.000 0.138 0.250
Y 0.000 0.862 0.750
Y 0.500 0.362 0.750
Y 0.500 0.638 0.250
O 0.158 0.151 0.652
O 0.158 0.849 0.152
O 0.342 0.349 0.348
O 0.342 0.651 0.848
O 0.658 0.349 0.152
O 0.658 0.651 0.652
O 0.842 0.151 0.848
O 0.842 0.849 0.348



Structure and simulated powder XRD pattern of Y4Zr3O12 (a structure optimized by DFT (PBE); Cu Kα).

Principal peaks in the range 2θ = 10–80°, in order of rising 2θ:
- d = 3.111 Å, 2θ = 28.7°, I 100
- d = 3.077 Å, 2θ = 29.0°, I 87
- d = 3.028 Å, 2θ = 29.5°, I 93
- d = 3.012 Å, 2θ = 29.7°, I 91
- d = 2.662 Å, 2θ = 33.7°, I 29
- d = 2.653 Å, 2θ = 33.8°, I 33
- d = 2.624 Å, 2θ = 34.2°, I 30
- d = 1.877 Å, 2θ = 48.5°, I 32
- d = 1.865 Å, 2θ = 48.8°, I 30
- d = 1.587 Å, 2θ = 58.1°, I 30

Structural model:
abc: 6.394 6.434 6.608
angles: 99.80 98.46 99.61
Element x y z (fractional)
Y 0.113 0.301 0.135
Y 0.196 0.865 0.390
Y 0.804 0.135 0.610
Y 0.887 0.699 0.865
Zr 0.350 0.397 0.671
Zr 0.500 0.000 0.000
Zr 0.650 0.603 0.329
O 0.087 0.418 0.821
O 0.090 0.188 0.435
O 0.185 0.932 0.059
O 0.328 0.570 0.426
O 0.421 0.086 0.694
O 0.475 0.322 0.115
O 0.525 0.678 0.885
O 0.579 0.914 0.306
O 0.672 0.430 0.574
O 0.815 0.068 0.941
O 0.910 0.812 0.565
O 0.913 0.582 0.179